Calculated PXRD pattern
Compound: Nd2HoF11
Radiation: Cu Kα, 1.54184 Å
Structure: a DFT-relaxed cell (GGA-PBE, Alexandria)

Principal peaks in the range 2θ from 10° to 90°, low angle first:
2theta, I_rel, hkl
13.3, 35, 1 1 0
20.6, 100, 1 1 2
21.4, 37, 1 2 1
23.2, 78, 0 2 2
23.6, 53, 2 1 1
25.9, 30, 2 0 2
41.9, 24, 2 2 4
42.5, 27, 1 3 4
43.5, 26, 1 4 3
43.7, 43, 3 3 2

Structural model:
```
data_Nd2HoF11
_chemical_formula_sum 'Nd8 Ho4 F44'
_symmetry_space_group_name_H-M 'I b a m'
_symmetry_Int_Tables_number 72
_symmetry_space_group_name_Hall '-I 2 2c'
_cell_length_a 8.6830
_cell_length_b 10.4465
_cell_length_c 11.2810
_cell_angle_alpha 90.00
_cell_angle_beta 90.00
_cell_angle_gamma 90.00
loop_
_atom_site_label
_atom_site_type_symbol
_atom_site_fract_x
_atom_site_fract_y
_atom_site_fract_z
Nd1 Nd 0.1645 0.1908 0.0000
Ho1 Ho 0.0000 0.5000 0.2500
F1 F 0.0000 0.0000 0.0000
F2 F 0.0988 0.3323 0.1475
F3 F 0.1064 0.1874 0.5000
F4 F 0.1956 0.4274 0.3650
```